1.
Computed X-ray powder pattern of Li5Mn2CoO8 for CuKα, from a cell relaxed with PBE+U.

Atomic structure:
```
Li5Mn2CoO8
1.0
2.6607 -1.4480 0.0000
2.6607 1.4480 0.0000
-2.5995 0.0000 20.0451
Li Mn Co O
5 2 1 8
Cartesian
0.0000 0.0000 0.0000
-0.3102 0.0000 7.5643
1.6971 0.0000 2.3438
1.0248 0.0000 17.7013
3.0320 0.0000 12.4807
-0.6312 0.0000 15.0235
3.3530 0.0000 5.0215
1.3609 0.0000 10.0225
-0.0695 0.0000 3.9480
-0.4495 0.0000 11.1577
-0.7594 0.0000 18.7742
1.4146 0.0000 6.1717
1.3072 0.0000 13.8733
3.4812 0.0000 1.2709
3.1713 0.0000 8.8873
2.7913 0.0000 16.0971
```

Largest 6 diffraction maxima, in order of falling intensity, 2θ from 10° to 90°:
2θ/deg	intensity
17.7	100
43.4	64
40.8	40
35.9	25
13.3	20
60.7	20



2.
Computed X-ray powder pattern of Li2MnCo3O8 for CuKα, from a cell relaxed with PBE+U.

Atomic structure:
```
Li2MnCo3O8
1.0
5.7798 0.0000 0.0000
2.8893 5.1987 0.0000
0.0215 3.2756 9.6109
Li Mn Co O
4 2 6 16
Cartesian
0.0000 0.0000 0.0000
0.1645 1.6400 4.8084
2.8888 0.0077 0.0039
3.0544 1.6419 4.8125
1.6025 4.2412 4.8094
4.3364 2.6041 0.0033
7.2233 2.6038 0.0042
2.9735 5.0604 7.2053
2.9676 3.4094 2.4103
4.4937 4.2407 4.8094
5.8624 3.4326 2.4110
5.8683 5.0571 7.2154
1.4339 4.3916 8.4321
1.6210 2.7292 3.6154
2.8785 6.5916 8.5901
3.0759 4.9474 3.7739
2.8710 1.8824 1.0408
3.0761 3.5311 5.8442
4.3267 4.1035 1.2076
4.5099 5.7206 5.9862
4.3264 4.3764 8.4132
4.5102 2.7586 3.6321
5.8060 6.5994 8.5743
5.9318 4.9545 3.7749
5.8038 1.8921 1.0326
5.9314 3.5298 5.8439
7.2189 4.0827 1.1872
7.4080 5.7527 6.0038
```

Largest 6 diffraction maxima, in order of falling intensity, 2θ from 10° to 90°:
2θ/deg	intensity
18.0	100
43.6	35
36.3	21
43.3	18
35.9	12
56.9	10



3.
Computed X-ray powder pattern of Li4MnCo2O7 for CuKα, from a cell relaxed with PBE+U.

Atomic structure:
```
Li4MnCo2O7
1.0
9.8554 -1.4517 0.0000
9.8554 1.4517 0.0000
-4.1801 0.0000 8.9210
Li Mn Co O
8 2 4 14
Cartesian
0.0000 0.0000 0.0000
-1.9995 0.0000 6.9488
2.5987 0.0000 3.2383
3.4546 0.0000 8.3070
7.7653 0.0000 4.4605
12.0761 0.0000 0.6140
12.9320 0.0000 5.6827
17.5302 0.0000 1.9721
5.0223 0.0000 1.2887
10.5084 0.0000 7.6322
0.4490 0.0000 5.0136
5.5533 0.0000 6.5401
9.9774 0.0000 2.3809
15.0817 0.0000 3.9073
-0.8504 0.0000 3.5376
1.2965 0.0000 1.6779
-0.3186 0.0000 8.5644
1.6624 0.0000 6.8602
4.1547 0.0000 4.7275
6.2068 0.0000 2.7800
8.7363 0.0000 1.0651
6.7944 0.0000 7.8559
9.3239 0.0000 6.1410
11.3760 0.0000 4.1935
13.8683 0.0000 2.0608
15.8493 0.0000 0.3565
14.2342 0.0000 7.2431
16.3811 0.0000 5.3834
```

Largest 6 diffraction maxima, in order of falling intensity, 2θ from 10° to 90°:
2θ/deg	intensity
18.1	100
43.4	53
43.1	25
36.1	24
62.5	15
35.6	14



4.
Computed X-ray powder pattern of Li7Mn4CoO12 for CuKα, from a cell relaxed with PBE+U.

Atomic structure:
```
Li7Mn4CoO12
1.0
5.0368 0.0000 0.0000
1.0257 5.1181 0.0000
0.6776 2.2024 8.4296
Li Mn Co O
7 4 1 12
Cartesian
0.0000 0.0000 0.0000
0.7944 3.1544 5.4891
0.9472 4.1603 2.8113
1.6190 1.3479 3.4709
3.4445 4.6514 1.4448
3.3497 3.6570 4.1374
3.2486 2.6773 6.9603
1.7434 2.2723 0.7370
2.5520 5.5245 6.2243
4.9821 5.0095 7.6703
4.2124 1.7854 2.1383
5.1693 6.0369 4.8234
0.6930 0.7125 1.7261
1.6762 4.8751 4.6561
1.6355 4.0526 7.3329
3.3800 6.1005 7.9148
2.4552 1.7924 5.2968
2.6286 2.9438 2.3247
4.1120 4.3954 6.0176
3.3357 1.1850 0.4479
4.4467 5.4915 3.1386
4.9336 2.4732 3.7482
5.0929 3.2784 1.0098
6.0154 6.6078 6.5162
```

Largest 6 diffraction maxima, in order of falling intensity, 2θ from 10° to 90°:
2θ/deg	intensity
18.3	100
41.8	33
44.2	28
44.3	28
62.5	24
36.4	23



5.
Computed X-ray powder pattern of Li7Mn2Co3O12 for CuKα, from a cell relaxed with PBE+U.

Atomic structure:
```
Li7Mn2Co3O12
1.0
4.9942 0.0000 0.0000
2.4387 4.4236 0.0000
1.9103 -0.1342 9.6843
Li Mn Co O
7 2 3 12
Cartesian
0.0000 0.0000 0.0000
2.6160 1.3642 7.2979
4.1107 4.3679 2.3896
5.1516 2.8605 7.3228
4.2226 1.4512 2.3631
7.6388 4.2979 7.2927
6.6703 2.9194 2.3877
2.4619 1.4674 0.0005
5.8790 4.3559 4.8424
3.3814 2.8708 4.8518
6.8733 2.8223 9.6818
5.9457 1.4046 4.8292
3.4330 2.6903 8.6249
4.2936 4.3366 5.9821
2.4533 1.4818 3.6620
3.3725 2.8132 1.0645
6.1255 4.2879 8.6194
4.3344 1.3419 5.9330
4.9914 2.9380 3.7553
5.6199 4.3816 1.0460
5.9796 1.4836 8.6177
6.8734 2.7954 6.0137
7.4677 4.3667 3.7038
5.8532 1.5903 1.0762
```

Largest 6 diffraction maxima, in order of falling intensity, 2θ from 10° to 90°:
2θ/deg	intensity
18.3	100
42.8	31
43.6	28
44.6	26
63.1	16
35.5	15



6.
Computed X-ray powder pattern of Li4MnCo2O7 for CuKα, from a cell relaxed with PBE+U.

Atomic structure:
```
Li4MnCo2O7
1.0
2.9829 0.0000 0.0000
1.2902 4.9439 0.0000
0.4016 1.3860 17.1819
Li Mn Co O
8 2 4 14
Cartesian
0.0000 0.0000 0.0000
1.5355 5.5600 8.5714
1.6712 4.5865 13.4659
1.4670 2.0756 1.2035
1.6460 1.1190 6.1409
3.1020 5.0209 11.0259
3.3504 3.9806 16.0774
3.0235 1.6009 3.6303
1.5027 3.8460 4.8799
1.8412 1.8223 14.7975
1.6779 2.8286 9.8091
2.8656 4.3535 2.3338
3.0798 3.3227 7.3700
3.2723 2.2770 12.2298
1.6449 5.5934 15.2533
1.5450 4.6054 6.6994
1.5514 3.0836 3.1078
1.7268 3.5579 11.6010
1.6334 2.0716 8.0575
1.8489 2.6657 16.4219
2.8282 5.0990 4.1643
1.8362 1.0496 12.9174
2.9938 4.0839 9.1635
2.8934 3.5280 0.8055
3.3138 2.9896 14.1008
3.1719 2.5304 5.6064
2.9236 0.6324 1.8896
3.3546 1.5583 10.4496
```

Largest 6 diffraction maxima, in order of falling intensity, 2θ from 10° to 90°:
2θ/deg	intensity
18.3	100
41.8	33
43.9	27
44.6	26
34.8	19
36.2	13



7.
Computed X-ray powder pattern of Li5Mn2CoO8 for CuKα, from a cell relaxed with PBE+U.

Atomic structure:
```
Li5Mn2CoO8
1.0
5.1348 0.0000 0.0000
0.0000 5.7141 0.0000
-1.8853 0.0000 4.7765
Li Mn Co O
5 2 1 8
Cartesian
0.0000 0.0000 0.0000
-0.9427 1.3988 2.3883
-0.9427 4.3153 2.3883
1.6247 0.0000 2.3883
1.6247 2.8570 2.3883
2.5674 1.4274 0.0000
2.5674 4.2866 0.0000
0.0000 2.8570 0.0000
0.9065 1.4984 1.0047
0.9065 4.2157 1.0047
-0.0245 2.8570 3.6466
0.0093 0.0000 3.6492
3.2402 0.0000 1.1273
3.2740 2.8570 1.1299
2.3429 1.4984 3.7719
2.3429 4.2157 3.7719
```

Largest 6 diffraction maxima, in order of falling intensity, 2θ from 10° to 90°:
2θ/deg	intensity
18.6	100
44.6	53
42.6	30
63.4	29
36.7	23
24.3	19



8.
Computed X-ray powder pattern of Li4MnCo2O7 for CuKα, from a cell relaxed with PBE+U.

Atomic structure:
```
Li4MnCo2O7
1.0
4.9766 0.0000 0.0000
0.8847 6.5558 0.0000
1.5953 0.4036 7.6087
Li Mn Co O
8 2 4 14
Cartesian
0.0000 0.0000 0.0000
1.6492 5.7839 2.5961
2.4543 4.9692 5.3048
2.3901 3.0678 3.1124
2.4068 0.9852 0.9828
4.9615 6.0013 6.4718
4.9601 4.0455 4.1980
4.9256 2.0186 2.0303
3.2434 0.2220 3.6775
5.7304 1.2201 4.7825
1.6379 3.8332 0.4664
3.2423 2.1986 5.8566
4.1305 4.8462 1.5779
5.7181 3.2204 6.9756
1.6180 2.9621 5.1006
2.3860 2.3436 7.5951
1.6335 1.1117 3.0708
2.3910 0.4587 5.4921
2.5675 5.6045 0.7240
3.3793 5.0586 3.4694
4.0864 3.9118 6.1616
3.2292 2.9606 1.1753
4.0932 1.9989 4.0898
4.8688 1.3805 6.5385
3.9976 0.1609 1.9463
5.7349 6.0826 4.5251
6.6298 5.0270 7.2600
5.6875 3.9269 2.2570
```

Largest 6 diffraction maxima, in order of falling intensity, 2θ from 10° to 90°:
2θ/deg	intensity
18.3	100
43.4	55
35.9	27
44.4	25
63.1	14
64.5	14



9.
Computed X-ray powder pattern of Li3MnCoO5 for CuKα, from a cell relaxed with PBE+U.

Atomic structure:
```
Li3MnCoO5
1.0
2.6535 -1.4187 0.0000
2.6535 1.4187 0.0000
-0.3726 0.0000 24.4264
Li Mn Co O
6 2 2 10
Cartesian
0.0000 0.0000 0.0000
0.4342 0.0000 7.3928
1.3364 0.0000 22.1288
2.4673 0.0000 12.2132
3.5981 0.0000 2.2976
4.5003 0.0000 17.0335
2.0350 0.0000 4.9161
2.8995 0.0000 19.5102
0.8373 0.0000 14.6319
4.0973 0.0000 9.7944
0.1562 0.0000 3.8501
0.7226 0.0000 10.8820
0.9733 0.0000 18.3569
1.8404 0.0000 1.2487
2.1605 0.0000 8.7036
2.7740 0.0000 15.7227
3.0941 0.0000 23.1777
3.9612 0.0000 6.0695
4.2119 0.0000 13.5443
4.7783 0.0000 20.5762
```

Largest 6 diffraction maxima, in order of falling intensity, 2θ from 10° to 90°:
2θ/deg	intensity
18.2	100
44.4	57
40.9	38
36.6	22
34.0	20
61.9	18



10.
Computed X-ray powder pattern of Li7Mn4CoO12 for CuKα, from a cell relaxed with PBE+U.

Atomic structure:
```
Li7Mn4CoO12
1.0
4.8619 -4.2981 0.0000
4.8619 4.2981 0.0000
-0.7073 0.0000 5.2004
Li Mn Co O
7 4 1 12
Cartesian
0.0000 0.0000 0.0000
2.2385 1.4206 1.2999
1.8354 -0.0333 3.9351
2.2709 -1.4283 1.2942
6.7779 1.4206 3.9005
7.1811 -0.0333 1.2653
6.7456 -1.4283 3.9062
4.5082 2.8629 2.6002
4.8619 1.4329 0.0000
4.5082 -0.0221 2.6002
4.5082 -2.8780 2.6002
4.8619 -1.4615 0.0000
3.6987 2.7819 0.7937
0.8430 -0.0098 2.0637
3.2976 1.4334 3.1585
5.3178 2.7819 4.4066
3.6510 -0.0384 0.5499
5.7189 1.4334 2.0419
3.2996 -1.4636 3.1644
5.3655 -0.0384 4.6505
3.7207 -2.7962 0.7748
5.7168 -1.4636 2.0360
8.1735 -0.0098 3.1366
5.2958 -2.7962 4.4256
```

Largest 6 diffraction maxima, in order of falling intensity, 2θ from 10° to 90°:
2θ/deg	intensity
18.4	100
44.3	56
41.6	34
36.4	24
34.5	17
62.2	17